Structure and theoretical X-ray diffraction stick pattern of KPb2I5 (a structure optimized by DFT (PBE); Cu Kα X-rays).
No peak broadening, texture or thermal motion is included.

Structure:
a = 11.943 Å, b = 8.801 Å, c = 16.076 Å
α = 90.00°, β = 112.16°, γ = 90.00°
Sites, in units of the cell vectors:
K  0.000  0.000  0.000
K  0.000  0.500  0.500
K  0.500  0.000  0.000
K  0.500  0.500  0.500
Pb  0.084  0.004  0.381
Pb  0.084  0.496  0.881
Pb  0.416  0.004  0.618
Pb  0.416  0.496  0.118
Pb  0.584  0.504  0.882
Pb  0.584  0.996  0.382
Pb  0.916  0.504  0.119
Pb  0.916  0.996  0.619
I  0.042  0.184  0.203
I  0.042  0.316  0.703
I  0.148  0.650  0.090
I  0.148  0.850  0.590
I  0.250  0.220  0.000
I  0.250  0.280  0.500
I  0.352  0.649  0.910
I  0.352  0.851  0.410
I  0.459  0.183  0.797
I  0.459  0.317  0.297
I  0.541  0.683  0.703
I  0.541  0.817  0.203
I  0.648  0.149  0.590
I  0.648  0.351  0.090
I  0.750  0.720  0.500
I  0.750  0.780  0.000
I  0.852  0.150  0.410
I  0.852  0.350  0.910
I  0.958  0.684  0.297
I  0.958  0.816  0.797

Top 8 peaks for 2θ = 5–70°, by intensity:
- 2θ = 11.68°, I = 1000
- 2θ = 36.16°, I = 737
- 2θ = 31.07°, I = 617
- 2θ = 24.37°, I = 539
- 2θ = 24.71°, I = 531
- 2θ = 23.35°, I = 505
- 2θ = 32.26°, I = 483
- 2θ = 15.98°, I = 445


Structure and theoretical X-ray diffraction stick pattern of KTe2PbI (a structure optimized by DFT (PBE); Cu Kα X-rays).
No peak broadening, texture or thermal motion is included.

Structure:
a = 5.933 Å, b = 5.933 Å, c = 6.478 Å
α = 90.00°, β = 90.00°, γ = 90.00°
Sites, in units of the cell vectors:
K  0.000  0.000  0.000
Te  0.000  0.500  0.500
Te  0.500  0.000  0.500
Pb  0.500  0.500  0.500
I  0.500  0.500  0.000

Top 8 peaks for 2θ = 5–70°, by intensity:
- 2θ = 14.93°, I = 1000
- 2θ = 30.12°, I = 893
- 2θ = 41.27°, I = 757
- 2θ = 13.67°, I = 588
- 2θ = 27.54°, I = 563
- 2θ = 51.93°, I = 386
- 2θ = 31.47°, I = 346
- 2θ = 25.29°, I = 335


Structure and theoretical X-ray diffraction stick pattern of KPdI (a structure optimized by DFT (PBE); Cu Kα X-rays).
No peak broadening, texture or thermal motion is included.

Structure:
a = 9.201 Å, b = 9.201 Å, c = 9.201 Å
α = 115.04°, β = 93.58°, γ = 120.95°
Sites, in units of the cell vectors:
K  0.000  0.250  0.250
K  0.000  0.750  0.750
K  0.430  0.384  0.546
K  0.431  0.885  0.046
K  0.838  0.884  0.454
K  0.839  0.385  0.954
Pd  0.309  0.418  0.893
Pd  0.309  0.916  0.391
Pd  0.525  0.416  0.107
Pd  0.525  0.918  0.609
Pd  0.693  0.193  0.500
Pd  0.693  0.693  0.000
I  0.067  0.393  0.674
I  0.067  0.893  0.175
I  0.379  0.129  0.750
I  0.379  0.629  0.250
I  0.718  0.393  0.326
I  0.718  0.893  0.825

Top 8 peaks for 2θ = 5–70°, by intensity:
- 2θ = 30.28°, I = 1000
- 2θ = 19.58°, I = 841
- 2θ = 12.03°, I = 741
- 2θ = 39.32°, I = 720
- 2θ = 41.44°, I = 713
- 2θ = 36.37°, I = 659
- 2θ = 17.95°, I = 613
- 2θ = 26.68°, I = 462